# 1
The following is a simulated PXRD pattern of TmMg2In4. It was derived from a structure optimized by DFT (PBE), using Cu Ka.
Neutral-atom scattering factors, no anomalous dispersion.

Most intense lines, 10 to 90 degrees two-theta, in order of falling intensity:
2theta  I_rel  index
34.5  100  2 0 2
38.6  37  2 2 0
17.1  34  1 0 1
67.3  28  4 2 2
59.1  21  2 2 4
32.2  14  2 1 1
43.0  14  0 0 4
27.0  12  2 0 0
55.7  12  4 0 0
21.1  11  0 0 2

Atomic structure:
Cell: 6.596 6.596 8.423 Å, 90.00 90.00 90.00°
Space group I4/mmm (No. 139)
Inequivalent atoms, fractional coordinates:
Tm 0.000 0.000 0.000
Mg 0.000 0.500 0.000
In 0.250 0.250 0.250

***

# 2
The following is a simulated PXRD pattern of Tm2MgIn9. It was derived from a structure optimized by DFT (PBE), using Cu Ka.
Neutral-atom scattering factors, no anomalous dispersion.

Most intense lines, 10 to 90 degrees two-theta, in order of falling intensity:
2theta  I_rel  index
33.6  100  1 1 3
38.9  33  2 0 0
67.1  26  3 1 3
56.3  22  2 0 6
39.1  16  0 0 6
67.3  13  1 1 9
56.2  11  2 2 0
70.6  11  2 2 6
20.2  4  1 0 1
83.6  4  4 0 0

Atomic structure:
Cell: 4.626 4.626 13.833 Å, 90.00 90.00 90.00°
Space group P4/mmm (No. 123)
Inequivalent atoms, fractional coordinates:
Tm 0.000 0.000 0.165
Mg 0.000 0.000 0.500
In 0.000 0.500 0.000
In 0.000 0.500 0.337
In 0.500 0.500 0.167
In 0.500 0.500 0.500

***

# 3
The following is a simulated PXRD pattern of Tm7MgIn2. It was derived from a structure optimized by DFT (PBE), using Cu Ka.
Neutral-atom scattering factors, no anomalous dispersion.

Most intense lines, 10 to 90 degrees two-theta, in order of falling intensity:
2theta  I_rel  index
28.2  100  2 2 2
32.7  96  4 0 0
46.9  70  4 4 0
55.6  45  6 2 2
78.0  32  8 4 0
58.4  24  4 4 4
87.2  24  8 4 4
16.2  22  2 0 0
75.7  18  6 6 2
36.7  12  4 2 0

Atomic structure:
Cell: 10.956 10.956 10.956 Å, 90.00 90.00 90.00°
Space group Fm-3m (No. 225)
Inequivalent atoms, fractional coordinates:
Tm 0.000 0.000 0.000
Tm 0.000 0.000 0.252
Mg 0.000 0.000 0.500
In 0.250 0.250 0.250

***

# 4
The following is a simulated PXRD pattern of Tm6MgIn2. It was derived from a structure optimized by DFT (PBE), using Cu Ka.
Neutral-atom scattering factors, no anomalous dispersion.

Most intense lines, 10 to 90 degrees two-theta, in order of falling intensity:
2theta  I_rel  index
34.9  100  1 2 3
24.7  34  1 0 3
62.6  22  2 4 0
35.4  19  2 0 0
24.3  19  0 2 0
63.2  14  3 2 3
50.6  14  2 0 6
73.7  11  2 4 6
43.0  8  0 2 6
43.4  8  2 2 0

Atomic structure:
Cell: 5.070 7.333 15.423 Å, 90.00 90.00 90.00°
Space group Immm (No. 71)
Inequivalent atoms, fractional coordinates:
Tm 0.000 0.248 0.000
Tm 0.000 0.249 0.334
Mg 0.000 0.000 0.500
In 0.000 0.000 0.168

***

# 5
The following is a simulated PXRD pattern of Tm5Mg2In. It was derived from a structure optimized by DFT (PBE), using Cu Ka.
Neutral-atom scattering factors, no anomalous dispersion.

Most intense lines, 10 to 90 degrees two-theta, in order of falling intensity:
2theta  I_rel  index
31.8  100  2 1 3
34.3  64  3 1 0
25.0  35  2 1 1
31.5  28  1 1 4
64.3  27  5 2 3
35.2  23  2 0 4
54.9  15  3 3 4
55.1  14  3 1 6
52.4  13  4 0 4
50.1  13  4 1 3

Atomic structure:
Cell: 8.278 8.278 12.975 Å, 90.00 90.00 90.00°
Space group I4/mcm (No. 140)
Inequivalent atoms, fractional coordinates:
Tm 0.000 0.000 0.000
Tm 0.153 0.347 0.159
Mg 0.138 0.362 0.500
In 0.000 0.000 0.250

***

# 6
The following is a simulated PXRD pattern of Tm5MgIn. It was derived from a structure optimized by DFT (PBE), using Cu Ka.
Neutral-atom scattering factors, no anomalous dispersion.

Most intense lines, 10 to 90 degrees two-theta, in order of falling intensity:
2theta  I_rel  index
34.0  100  2 0 -4
34.5  76  1 3 -2
31.6  68  1 1 3
33.0  54  2 2 1
19.5  29  1 1 -2
30.1  19  2 2 0
32.2  18  1 3 -1
46.4  17  0 2 5
57.9  16  1 1 -7
62.4  14  2 0 6

Atomic structure:
Cell: 8.273 8.977 11.391 Å, 90.00 107.22 90.00°
Space group C2/c (No. 15)
Inequivalent atoms, fractional coordinates:
Tm 0.000 0.131 0.250
Tm 0.114 0.354 0.535
Tm 0.205 0.205 0.843
Mg 0.000 0.000 0.000
In 0.000 0.482 0.250

***

# 7
The following is a simulated PXRD pattern of TmMg2In3. It was derived from a structure optimized by DFT (PBE), using Cu Ka.
Neutral-atom scattering factors, no anomalous dispersion.

Most intense lines, 10 to 90 degrees two-theta, in order of falling intensity:
2theta  I_rel  index
34.1  100  1 3 1
38.7  18  0 6 0
39.6  17  2 0 0
40.5  16  0 0 2
67.1  14  1 9 1
12.7  14  0 2 0
56.6  13  2 6 0
68.3  13  3 3 1
69.6  12  1 3 3
71.9  11  2 6 2

Atomic structure:
Cell: 4.555 13.960 4.451 Å, 90.00 90.00 90.00°
Space group Cmmm (No. 65)
Inequivalent atoms, fractional coordinates:
Tm 0.000 0.000 0.000
Mg 0.000 0.329 0.000
In 0.000 0.169 0.500
In 0.000 0.500 0.500

***

# 8
The following is a simulated PXRD pattern of MgU2In9. It was derived from a structure optimized by DFT (PBE), using Cu Ka.
Neutral-atom scattering factors, no anomalous dispersion.

Most intense lines, 10 to 90 degrees two-theta, in order of falling intensity:
2theta  I_rel  index
33.5  100  1 1 3
38.8  34  2 0 0
66.9  26  3 1 3
56.2  22  2 0 6
39.0  16  0 0 6
67.2  13  1 1 9
56.1  11  2 2 0
70.4  11  2 2 6
20.2  6  1 0 1
23.1  5  1 0 2

Atomic structure:
Cell: 4.639 4.639 13.843 Å, 90.00 90.00 90.00°
Space group P4/mmm (No. 123)
Inequivalent atoms, fractional coordinates:
Mg 0.000 0.000 0.000
U 0.000 0.000 0.332
In 0.000 0.500 0.162
In 0.000 0.500 0.500
In 0.500 0.500 0.000
In 0.500 0.500 0.335

***

Question: What is the formula in the fifth record?
Answer: Tm5Mg2In